The following is a calculated X-ray diffraction stick pattern of ZrU2ReC4. It was derived from a DFT-relaxed cell (PBE, Alexandria), using Cu Kα (weighted mean of Kα1 and Kα2).
Intensities are scaled so that the largest is 100.

```
data_ZrU2ReC4
_chemical_formula_sum 'Zr2 U4 Re2 C8'
_cell_length_a 5.974
_cell_length_b 5.974
_cell_length_c 11.718
_cell_angle_alpha 90.00
_cell_angle_beta 90.00
_cell_angle_gamma 147.51
_symmetry_space_group_name_H-M 'P 1'
_symmetry_Int_Tables_number 1
loop_
_symmetry_equiv_pos_as_xyz
'x,y,z'
loop_
_atom_site_label
_atom_site_fract_x
_atom_site_fract_y
_atom_site_fract_z
_atom_site_occupancy
Zr1 0.122 0.878 0.750 1
Zr2 0.878 0.122 0.250 1
U1 0.366 0.634 0.545 1
U2 0.366 0.634 0.955 1
U3 0.634 0.366 0.045 1
U4 0.634 0.366 0.455 1
Re1 0.139 0.861 0.250 1
Re2 0.861 0.139 0.750 1
C1 0.000 0.000 0.000 1
C2 0.000 0.000 0.500 1
C3 0.272 0.728 0.131 1
C4 0.272 0.728 0.369 1
C5 0.468 0.532 0.750 1
C6 0.532 0.468 0.250 1
C7 0.728 0.272 0.631 1
C8 0.728 0.272 0.869 1
```

Peak list (8 most intense, 2θ from 10° to 90°, by angle)
- 2θ = 17.21°, intensity 54.6
- 2θ = 30.52°, intensity 34.3
- 2θ = 31.19°, intensity 66.4
- 2θ = 31.80°, intensity 98.2
- 2θ = 36.23°, intensity 40.2
- 2θ = 38.95°, intensity 100.0
- 2θ = 41.63°, intensity 40.5
- 2θ = 65.40°, intensity 25.2